No. 1
Computed X-ray powder pattern
Compound: Ca2SbO5
Radiation: copper Kα
Structure: a GGA-PBE-relaxed structure
Intensities are scaled so that the largest is 100.

Structure:
a b c (Å): 6.143 6.143 10.813
angles (deg): 90.00 90.00 140.90
Atoms (fractional coordinates):
Ca1 0.141 0.859 0.570
Ca2 0.141 0.859 0.930
Ca3 0.859 0.141 0.070
Ca4 0.859 0.141 0.430
Sb1 0.171 0.829 0.250
Sb2 0.829 0.171 0.750
O1 0.047 0.953 0.126
O2 0.047 0.953 0.374
O3 0.279 0.721 0.106
O4 0.279 0.721 0.394
O5 0.289 0.711 0.750
O6 0.711 0.289 0.250
O7 0.721 0.279 0.606
O8 0.721 0.279 0.894
O9 0.953 0.047 0.626
O10 0.953 0.047 0.874

Main lines, in order of rising 2θ (2θ = 10–90°):
5.789 Å, I = 72
5.103 Å, I = 63
3.874 Å, I = 96
3.647 Å, I = 71
3.060 Å, I = 100
2.814 Å, I = 47
2.639 Å, I = 51
2.257 Å, I = 46
1.760 Å, I = 49
1.519 Å, I = 52


No. 2
Computed X-ray powder pattern
Compound: Ca4Sm2Sb3O2
Radiation: copper Kα
Structure: a GGA-PBE-relaxed structure
Intensities are scaled so that the largest is 100.

Structure:
a b c (Å): 13.168 13.168 13.168
angles (deg): 159.55 159.55 29.08
Atoms (fractional coordinates):
Ca1 0.083 0.583 0.500
Ca2 0.417 0.917 0.500
Ca3 0.583 0.083 0.500
Ca4 0.917 0.417 0.500
Sm1 0.194 0.194 0.000
Sm2 0.806 0.806 0.000
Sb1 0.321 0.321 0.000
Sb2 0.500 0.500 0.000
Sb3 0.679 0.679 0.000
O1 0.102 0.102 0.000
O2 0.898 0.898 0.000

Main lines, in order of rising 2θ (2θ = 10–90°):
4.096 Å, I = 20
3.306 Å, I = 64
3.200 Å, I = 48
3.187 Å, I = 22
2.873 Å, I = 30
2.609 Å, I = 100
2.337 Å, I = 67
1.723 Å, I = 23
1.653 Å, I = 22
1.396 Å, I = 27


No. 3
Computed X-ray powder pattern
Compound: CaTaSbO5
Radiation: copper Kα
Structure: a GGA-PBE-relaxed structure
Intensities are scaled so that the largest is 100.

Structure:
a b c (Å): 6.080 6.080 7.746
angles (deg): 107.20 107.20 99.61
Atoms (fractional coordinates):
Ca1 0.069 0.931 0.750
Ca2 0.931 0.069 0.250
Ta1 0.000 0.500 0.000
Ta2 0.500 0.000 0.500
Sb1 0.442 0.558 0.750
Sb2 0.558 0.442 0.250
O1 0.176 0.621 0.849
O2 0.185 0.259 0.022
O3 0.250 0.750 0.250
O4 0.259 0.185 0.522
O5 0.379 0.824 0.651
O6 0.621 0.176 0.349
O7 0.741 0.815 0.478
O8 0.750 0.250 0.750
O9 0.815 0.741 0.978
O10 0.824 0.379 0.151

Main lines, in order of rising 2θ (2θ = 10–90°):
5.411 Å, I = 59
3.718 Å, I = 100
3.329 Å, I = 70
2.808 Å, I = 68
2.789 Å, I = 39
2.766 Å, I = 38
2.497 Å, I = 20
2.464 Å, I = 20
2.029 Å, I = 24
1.804 Å, I = 38


No. 4
Computed X-ray powder pattern
Compound: Ca2TiSbO6
Radiation: copper Kα
Structure: a GGA-PBE-relaxed structure
Intensities are scaled so that the largest is 100.

Structure:
a b c (Å): 5.510 7.953 5.700
angles (deg): 90.00 90.04 90.00
Atoms (fractional coordinates):
Ca1 0.012 0.250 0.453
Ca2 0.485 0.250 0.938
Ca3 0.515 0.750 0.062
Ca4 0.988 0.750 0.547
Ti1 0.500 0.000 0.500
Ti2 0.500 0.500 0.500
Sb1 0.000 0.000 0.000
Sb2 0.000 0.500 0.000
O1 0.096 0.750 0.968
O2 0.208 0.051 0.693
O3 0.208 0.449 0.693
O4 0.311 0.051 0.209
O5 0.311 0.449 0.209
O6 0.407 0.750 0.468
O7 0.593 0.250 0.532
O8 0.689 0.551 0.791
O9 0.689 0.949 0.791
O10 0.792 0.551 0.307
O11 0.792 0.949 0.307
O12 0.904 0.250 0.032

Main lines, in order of rising 2θ (2θ = 10–90°):
5.700 Å, I = 13
3.966 Å, I = 47
2.850 Å, I = 25
2.806 Å, I = 100
2.755 Å, I = 23
1.988 Å, I = 17
1.981 Å, I = 30
1.637 Å, I = 17
1.600 Å, I = 25
1.403 Å, I = 15


No. 5
Computed X-ray powder pattern
Compound: CaTmSb2O8
Radiation: copper Kα
Structure: a GGA-PBE-relaxed structure
Intensities are scaled so that the largest is 100.

Structure:
a b c (Å): 6.686 6.686 6.686
angles (deg): 133.42 133.42 67.99
Atoms (fractional coordinates):
Ca1 0.000 0.000 0.000
Tm1 0.250 0.750 0.500
Sb1 0.500 0.500 0.000
Sb2 0.750 0.250 0.500
O1 0.033 0.092 0.448
O2 0.227 0.656 0.071
O3 0.344 0.414 0.571
O4 0.415 0.967 0.059
O5 0.586 0.156 0.929
O6 0.644 0.585 0.552
O7 0.844 0.773 0.429
O8 0.908 0.356 0.941

Main lines, in order of rising 2θ (2θ = 10–90°):
4.772 Å, I = 13
3.099 Å, I = 100
2.772 Å, I = 12
2.643 Å, I = 18
1.913 Å, I = 33
1.869 Å, I = 16
1.656 Å, I = 16
1.601 Å, I = 28
1.550 Å, I = 10
1.240 Å, I = 12